No. 1
# TbCeO4
Calculated X-ray diffraction stick pattern, Cu Kα, 1.54184 Å. Input: the PBE geometry in Alexandria.
Lines closer than 0.1° are merged.

Structural model:
Lattice parameters (Å, degrees): 5.154 5.154 3.618 90.00 90.00 90.83
Positions (direct):
Tb 0.000 0.000 0.000
Ce 0.500 0.500 0.500
O 0.195 0.195 0.500
O 0.312 0.688 0.000
O 0.688 0.312 0.000
O 0.805 0.805 0.500

Largest 8 diffraction maxima, in order of rising 2θ, 2θ from 15° to 90°:
| 2θ/deg | I (rel.) |
| --- | --- |
| 24.25 | 557 |
| 24.60 | 530 |
| 30.18 | 1000 |
| 34.82 | 290 |
| 46.53 | 407 |
| 46.93 | 388 |
| 56.73 | 197 |
| 59.57 | 233 |



No. 2
# CsGa3Au3
Calculated X-ray diffraction stick pattern, Cu Kα, 1.54184 Å. Input: the PBE geometry in Alexandria.
Lines closer than 0.1° are merged.

Structural model:
Lattice parameters (Å, degrees): 7.305 7.305 7.305 90.00 90.00 90.00
Positions (direct):
Cs 0.000 0.000 0.000
Cs 0.500 0.500 0.500
Ga 0.000 0.250 0.500
Ga 0.000 0.750 0.500
Ga 0.250 0.500 0.000
Ga 0.500 0.000 0.250
Ga 0.500 0.000 0.750
Ga 0.750 0.500 0.000
Au 0.000 0.500 0.250
Au 0.000 0.500 0.750
Au 0.250 0.000 0.500
Au 0.500 0.250 0.000
Au 0.500 0.750 0.000
Au 0.750 0.000 0.500

Largest 8 diffraction maxima, in order of rising 2θ, 2θ from 15° to 90°:
| 2θ/deg | I (rel.) |
| --- | --- |
| 17.17 | 225 |
| 24.37 | 419 |
| 27.30 | 477 |
| 29.96 | 1000 |
| 42.88 | 371 |
| 46.51 | 596 |
| 49.94 | 337 |
| 73.30 | 216 |